Hf8MgN8O4: calculated X-ray diffraction stick pattern (Cu Kα (λ = 1.5418 Å)), based on a crystal structure in Alexandria, relaxed with PBE.
Neutral-atom scattering factors, no anomalous dispersion.

Largest 10 diffraction maxima, by angle, 5 to 70 degrees two-theta:
(hkl)  Position (°2θ)  Rel. int.
0 0 3  29.1  100
1 -1 1  29.6  31
1 2 0  31.0  48
2 1 1  31.2  40
1 -1 2  32.0  81
1 2 -1  32.7  42
2 1 2  33.3  46
-1 1 1  34.0  56
2 1 -1  35.8  39
3 0 1  53.6  36

Structure:
abc: 5.7607 5.7762 9.5769
angles: 89.83 75.70 63.48
Space group P1 (No. 1)
Symmetry-distinct sites (fractional):
Hf1 0.0000 0.0000 0.0000 x1
Hf2 0.0148 0.4570 0.5762 x1
Hf3 0.1694 0.7365 0.3002 x1
Hf4 0.3204 0.3212 0.9442 x1
Hf5 0.3428 0.7647 0.6493 x1
Hf6 0.6598 0.1095 0.6360 x1
Hf7 0.6991 0.6692 0.9072 x1
Hf8 0.8307 0.3980 0.2873 x1
Mg1 0.5120 0.0635 0.2484 x1
N1 0.0383 0.8154 0.5298 x1
N2 0.1278 0.5818 0.7873 x1
N3 0.1593 0.3925 0.3329 x1
N4 0.3577 0.9767 0.8313 x1
N5 0.6265 0.0132 0.0222 x1
N6 0.6775 0.4286 0.5254 x1
N7 0.8761 0.0365 0.2398 x1
N8 0.9316 0.3867 0.0525 x1
O1 0.3190 0.6528 0.0500 x1
O2 0.3571 0.1032 0.5580 x1
O3 0.5090 0.7421 0.2948 x1
O4 0.7353 0.2962 0.7936 x1